Record 1
The following is a simulated powder diffraction line list of Pu3Hg. It was derived from a DFT-relaxed cell (GGA-PBE, Alexandria), using Cu Kα, 1.54184 Å.
Peak positions follow from Bragg's law for the DFT cell and can differ from measured ones.

Most intense lines, 10 to 90 degrees two-theta, by angle:
- d = 2.639 Å, 33.96°, rel. 100
- d = 1.868 Å, 48.76°, rel. 12
- d = 1.864 Å, 48.86°, rel. 6
- d = 1.524 Å, 60.78°, rel. 39
- d = 1.320 Å, 71.49°, rel. 12
- d = 1.181 Å, 81.50°, rel. 12

Atomic structure:
```
Pu3Hg
1.0
-2.641 2.641 3.728
2.641 -2.641 3.728
2.641 2.641 -3.728
Pu Hg
3 1
direct
0.000 0.000 0.000
0.250 0.750 0.500
0.750 0.250 0.500
0.500 0.500 0.000
```

Record 2
The following is a simulated powder diffraction line list of PuHg6. It was derived from a DFT-relaxed cell (GGA-PBE, Alexandria), using Cu Kα, 1.54184 Å.
Peak positions follow from Bragg's law for the DFT cell and can differ from measured ones.

Most intense lines, 10 to 90 degrees two-theta, by angle:
- d = 2.708 Å, 33.08°, rel. 50
- d = 2.583 Å, 34.73°, rel. 100
- d = 2.478 Å, 36.25°, rel. 45
- d = 1.491 Å, 62.25°, rel. 19
- d = 1.470 Å, 63.24°, rel. 18
- d = 1.352 Å, 69.50°, rel. 26

Atomic structure:
```
PuHg6
1.0
2.583 1.491 7.937
-2.583 1.491 7.937
0.000 -2.983 7.937
Pu Hg
1 6
direct
0.000 0.000 0.000
0.137 0.137 0.137
0.265 0.265 0.265
0.398 0.398 0.398
0.602 0.602 0.602
0.735 0.735 0.735
0.863 0.863 0.863
```

Record 3
The following is a simulated powder diffraction line list of PuHg4. It was derived from a DFT-relaxed cell (GGA-PBE, Alexandria), using Cu Kα, 1.54184 Å.
Peak positions follow from Bragg's law for the DFT cell and can differ from measured ones.

Most intense lines, 10 to 90 degrees two-theta, by angle:
- d = 2.721 Å, 32.92°, rel. 95
- d = 2.615 Å, 34.29°, rel. 100
- d = 2.524 Å, 35.57°, rel. 46
- d = 2.500 Å, 35.93°, rel. 40
- d = 1.776 Å, 51.45°, rel. 29
- d = 1.397 Å, 66.99°, rel. 30

Atomic structure:
```
PuHg4
1.0
-2.524 3.305 7.643
2.524 -3.305 7.643
2.524 3.305 -7.643
Pu Hg
2 8
direct
0.357 0.107 0.250
0.643 0.893 0.750
0.000 0.500 0.500
0.145 0.895 0.250
0.202 0.698 0.504
0.306 0.302 0.004
0.500 0.500 0.000
0.694 0.698 0.996
0.798 0.302 0.496
0.855 0.105 0.750
```

Record 4
The following is a simulated powder diffraction line list of Pu6Hg23. It was derived from a DFT-relaxed cell (GGA-PBE, Alexandria), using Cu Kα, 1.54184 Å.
Peak positions follow from Bragg's law for the DFT cell and can differ from measured ones.

Most intense lines, 10 to 90 degrees two-theta, by angle:
- d = 2.784 Å, 32.15°, rel. 18
- d = 2.558 Å, 35.09°, rel. 100
- d = 1.884 Å, 48.32°, rel. 9
- d = 1.809 Å, 50.46°, rel. 15
- d = 1.477 Å, 62.94°, rel. 26
- d = 1.399 Å, 66.89°, rel. 13

Atomic structure:
```
Pu6Hg23
1.0
0.000 7.234 7.234
7.234 0.000 7.234
7.234 7.234 0.000
Pu Hg
6 23
direct
0.231 0.231 0.769
0.231 0.769 0.231
0.231 0.769 0.769
0.769 0.231 0.231
0.769 0.231 0.769
0.769 0.769 0.231
0.000 0.000 0.000
0.000 0.000 0.500
0.000 0.500 0.000
0.000 0.500 0.500
0.144 0.144 0.144
0.144 0.144 0.569
0.144 0.569 0.144
0.156 0.615 0.615
0.385 0.385 0.385
0.385 0.385 0.844
0.385 0.844 0.385
0.431 0.856 0.856
0.500 0.000 0.000
0.500 0.000 0.500
0.500 0.500 0.000
0.569 0.144 0.144
0.615 0.156 0.615
0.615 0.615 0.156
0.615 0.615 0.615
0.844 0.385 0.385
0.856 0.431 0.856
0.856 0.856 0.431
0.856 0.856 0.856
```

Record 5
The following is a simulated powder diffraction line list of Pu3Hg5. It was derived from a DFT-relaxed cell (GGA-PBE, Alexandria), using Cu Kα, 1.54184 Å.
Peak positions follow from Bragg's law for the DFT cell and can differ from measured ones.

Most intense lines, 10 to 90 degrees two-theta, by angle:
- d = 2.870 Å, 31.16°, rel. 21
- d = 2.550 Å, 35.19°, rel. 100
- d = 2.531 Å, 35.46°, rel. 84
- d = 1.796 Å, 50.82°, rel. 29
- d = 1.465 Å, 63.50°, rel. 29
- d = 1.333 Å, 70.69°, rel. 23

Atomic structure:
```
Pu3Hg5
1.0
8.768 0.000 0.000
-4.384 7.594 0.000
0.000 0.000 3.135
Pu Hg
3 5
direct
0.000 0.648 0.000
0.352 0.352 0.000
0.648 0.000 0.000
0.000 0.289 0.500
0.289 0.000 0.500
0.333 0.667 0.500
0.667 0.333 0.500
0.711 0.711 0.500
```

Record 6
The following is a simulated powder diffraction line list of RbPu2HgSe4. It was derived from a DFT-relaxed cell (GGA-PBE, Alexandria), using Cu Kα, 1.54184 Å.
Peak positions follow from Bragg's law for the DFT cell and can differ from measured ones.

Most intense lines, 10 to 90 degrees two-theta, by angle:
- d = 6.594 Å, 13.43°, rel. 69
- d = 3.166 Å, 28.19°, rel. 26
- d = 2.974 Å, 30.05°, rel. 100
- d = 2.782 Å, 32.18°, rel. 40
- d = 2.185 Å, 41.32°, rel. 47
- d = 2.160 Å, 41.81°, rel. 28

Atomic structure:
```
RbPu2HgSe4
1.0
2.160 -7.338 0.000
2.160 7.338 0.000
0.000 0.000 15.031
Rb Pu Hg Se
2 4 2 8
direct
0.124 0.876 0.750
0.876 0.124 0.250
0.373 0.627 0.559
0.373 0.627 0.941
0.627 0.373 0.059
0.627 0.373 0.441
0.158 0.842 0.250
0.842 0.158 0.750
0.000 0.000 0.000
0.000 0.000 0.500
0.260 0.740 0.102
0.260 0.740 0.398
0.450 0.550 0.750
0.550 0.450 0.250
0.740 0.260 0.602
0.740 0.260 0.898
```